For UAl4Ir5, the GGA-PBE geometry in Alexandria gives the theoretical powder XRD pattern in this record (CuKα).

Peak list (10 most intense, 5° ≤ 2θ ≤ 70°, in order of falling intensity)
40.73°, intensity 100, hkl 1 0 5; 42.55°, intensity 60, hkl 1 1 0; 29.73°, intensity 35, hkl 1 0 0; 5.39°, intensity 25, hkl 0 0 1; 37.10°, intensity 21, hkl 1 0 4; 61.75°, intensity 20, hkl 2 0 0; 32.77°, intensity 17, hkl 0 0 6; 54.72°, intensity 16, hkl 1 1 6; 34.05°, intensity 14, hkl 1 0 3; 30.24°, intensity 13, hkl 1 0 1

Cell lengths 3.0047, 3.0047, 16.3955 Å; angles 90.00, 90.00, 90.00 degrees
Space group P4/mmm (No. 123)
Unique sites:
U (0.0000, 0.0000, 0.0000) [1 per cell]
Al (0.0000, 0.0000, 0.2184) [2 per cell]
Al (0.0000, 0.0000, 0.4067) [2 per cell]
Ir (0.5000, 0.5000, 0.1271) [2 per cell]
Ir (0.5000, 0.5000, 0.3153) [2 per cell]
Ir (0.5000, 0.5000, 0.5000) [1 per cell]

=====

For AlV4Ir, the GGA-PBE geometry in Alexandria gives the theoretical powder XRD pattern in this record (CuKα).

Peak list (10 most intense, 5° ≤ 2θ ≤ 70°, in order of falling intensity)
42.53°, intensity 100, hkl 1 3 1; 22.96°, intensity 36, hkl 1 1 0; 41.42°, intensity 27, hkl 0 0 2; 41.95°, intensity 26, hkl 2 0 0; 20.37°, intensity 25, hkl 0 0 1; 28.74°, intensity 24, hkl 0 2 1; 30.88°, intensity 22, hkl 1 1 1; 60.42°, intensity 19, hkl 2 0 2; 36.92°, intensity 12, hkl 1 3 0; 47.89°, intensity 11, hkl 1 1 2

Cell lengths 4.3071, 8.8534, 4.3595 Å; angles 90.00, 90.00, 90.00 degrees
Space group Cmmm (No. 65)
Unique sites:
Al (0.0000, 0.0000, 0.0000) [2 per cell]
V (0.0000, 0.1725, 0.5000) [4 per cell]
V (0.0000, 0.3213, 0.0000) [4 per cell]
Ir (0.0000, 0.5000, 0.5000) [2 per cell]

=====

For ZrAlIr3, the GGA-PBE geometry in Alexandria gives the theoretical powder XRD pattern in this record (CuKα).

Peak list (9 most intense, 5° ≤ 2θ ≤ 70°, in order of falling intensity)
34.88°, intensity 100, hkl 1 1 1; 40.49°, intensity 59, hkl 2 0 0; 58.60°, intensity 40, hkl 2 2 0; 19.93°, intensity 11, hkl 1 0 0; 45.52°, intensity 6, hkl 2 1 0; 28.33°, intensity 3, hkl 1 1 0; 62.54°, intensity 3, hkl 3 0 0; 50.15°, intensity 1, hkl 2 1 1; 66.34°, intensity 1, hkl 3 1 0

Cell lengths 4.4558, 4.4558, 4.4558 Å; angles 90.00, 90.00, 90.00 degrees
Space group Pm-3m (No. 221)
Unique sites:
Zr (0.0000, 0.0000, 0.0000) [1 per cell]
Al (0.5000, 0.5000, 0.5000) [1 per cell]
Ir (0.0000, 0.5000, 0.5000) [3 per cell]

=====

For ZrAl8Ir2, the GGA-PBE geometry in Alexandria gives the theoretical powder XRD pattern in this record (CuKα).

Peak list (10 most intense, 5° ≤ 2θ ≤ 70°, in order of falling intensity)
19.89°, intensity 100, hkl 0 1 -1; 43.03°, intensity 66, hkl 2 1 0; 40.42°, intensity 62, hkl 0 2 1; 27.30°, intensity 58, hkl 1 1 0; 21.14°, intensity 49, hkl 1 0 -1; 17.72°, intensity 47, hkl 1 0 0; 41.72°, intensity 44, hkl 1 0 3; 12.08°, intensity 42, hkl 0 0 1; 40.26°, intensity 42, hkl -2 1 1; 42.30°, intensity 39, hkl 1 -2 2

Cell lengths 5.0678, 5.0782, 7.4349 Å; angles 99.54, 90.50, 98.83 degrees
Space group P-1 (No. 2)
Unique sites:
Zr (0.0000, 0.0000, 0.0000) [1 per cell]
Al (0.0115, 0.1769, 0.6537) [2 per cell]
Al (0.2604, 0.5323, 0.9339) [2 per cell]
Al (0.3398, 0.4215, 0.3430) [2 per cell]
Al (0.4911, 0.9405, 0.1896) [2 per cell]
Ir (0.1749, 0.6990, 0.6334) [2 per cell]

=====

For ZrAl2Ir3, the GGA-PBE geometry in Alexandria gives the theoretical powder XRD pattern in this record (CuKα).

Peak list (10 most intense, 5° ≤ 2θ ≤ 70°, in order of falling intensity)
40.32°, intensity 100, hkl 1 0 3; 42.63°, intensity 50, hkl 1 1 0; 29.79°, intensity 45, hkl 1 0 0; 26.54°, intensity 23, hkl 0 0 3; 61.87°, intensity 17, hkl 2 0 0; 50.92°, intensity 16, hkl 1 1 3; 34.81°, intensity 10, hkl 1 0 2; 56.74°, intensity 8, hkl 1 1 4; 35.64°, intensity 8, hkl 0 0 4; 31.11°, intensity 7, hkl 1 0 1

Cell lengths 2.9992, 2.9992, 10.0764 Å; angles 90.00, 90.00, 90.00 degrees
Space group P4/mmm (No. 123)
Unique sites:
Zr (0.0000, 0.0000, 0.0000) [1 per cell]
Al (0.0000, 0.0000, 0.3449) [2 per cell]
Ir (0.5000, 0.5000, 0.1948) [2 per cell]
Ir (0.5000, 0.5000, 0.5000) [1 per cell]

=====

For K5Al4, the GGA-PBE geometry in Alexandria gives the theoretical powder XRD pattern in this record (CuKα).

Peak list (10 most intense, 5° ≤ 2θ ≤ 70°, in order of falling intensity)
30.57°, intensity 100, hkl 3 0 1; 32.14°, intensity 37, hkl 3 3 0; 21.27°, intensity 18, hkl 2 2 0; 46.31°, intensity 17, hkl 5 2 1; 56.31°, intensity 16, hkl 6 3 1; 53.32°, intensity 15, hkl 3 3 2; 41.36°, intensity 12, hkl 0 0 2; 46.08°, intensity 9, hkl 6 0 0; 26.48°, intensity 9, hkl 2 1 1; 68.76°, intensity 8, hkl 3 0 3

Cell lengths 11.8175, 11.8175, 4.3662 Å; angles 90.00, 90.00, 90.00 degrees
Space group I4/mmm (No. 139)
Unique sites:
K (0.0000, 0.0000, 0.0000) [2 per cell]
K (0.1750, 0.1750, 0.5000) [8 per cell]
Al (0.0000, 0.3823, 0.0000) [8 per cell]